Theoretical powder X-ray diffraction pattern
Compound: AlTlF4
Radiation: λ = 1.5418 Å (Cu Kα)
Structure: a crystal structure in the Materials Project, relaxed with PBE
No peak broadening, texture or thermal motion is included.

Top 12 peaks for 2θ = 5–70°, by intensity:
27.90 deg, d 3.198, I = 100, hkl 1 1 1; 28.02 deg, d 3.185, I = 98, hkl 3 1 -1; 13.69 deg, d 6.468, I = 95, hkl 2 0 0; 37.15 deg, d 2.420, I = 67, hkl 0 0 2; 27.58 deg, d 3.234, I = 53, hkl 4 0 0; 24.26 deg, d 3.669, I = 51, hkl 1 1 -1; 37.45 deg, d 2.401, I = 43, hkl 2 2 0; 36.96 deg, d 2.432, I = 42, hkl 3 1 1; 49.70 deg, d 1.835, I = 35, hkl 2 2 -2; 34.46 deg, d 2.603, I = 31, hkl 2 0 -2; 34.68 deg, d 2.586, I = 28, hkl 0 2 0; 57.93 deg, d 1.592, I = 28, hkl 5 1 -3

Crystal structure
abc: 13.910 5.173 5.205
angles: 90.00 111.58 90.00
Space group C2/c (No. 15)
One atom of each set of equivalent atoms:
Al  0.250  0.250  0.000 [4 per cell]
Tl  0.000  0.243  0.250 [4 per cell]
F  0.113  0.306  0.860 [8 per cell]
F  0.231  0.026  0.257 [8 per cell]

Theoretical powder X-ray diffraction pattern
Compound: AlTl2F5
Radiation: λ = 1.5418 Å (Cu Kα)
Structure: a crystal structure in the Materials Project, relaxed with PBE
No peak broadening, texture or thermal motion is included.

Top 12 peaks for 2θ = 5–70°, by intensity:
36.83 deg, d 2.440, I = 100, hkl 2 2 2; 27.95 deg, d 3.192, I = 71, hkl 2 2 0; 19.37 deg, d 4.583, I = 69, hkl 2 0 0; 30.64 deg, d 2.918, I = 67, hkl 2 0 2; 31.02 deg, d 2.883, I = 65, hkl 0 2 2; 19.96 deg, d 4.449, I = 65, hkl 0 2 0; 23.51 deg, d 3.785, I = 36, hkl 0 0 2; 50.90 deg, d 1.794, I = 30, hkl 4 2 2; 51.67 deg, d 1.769, I = 28, hkl 2 4 2; 39.32 deg, d 2.292, I = 25, hkl 4 0 0; 40.55 deg, d 2.225, I = 23, hkl 0 4 0; 56.53 deg, d 1.628, I = 22, hkl 2 2 4

Crystal structure
abc: 9.166 8.898 7.569
angles: 90.00 90.00 90.00
Space group Cmcm (No. 63)
One atom of each set of equivalent atoms:
Al  0.000  0.000  0.000 [4 per cell]
Tl  0.246  0.255  0.250 [8 per cell]
F  0.000  0.003  0.250 [4 per cell]
F  0.000  0.204  0.503 [8 per cell]
F  0.198  0.000  0.000 [8 per cell]

> What is the formula in the second record?

AlTl2F5